Diffraction record for Na6Co2C4SO16. The powder diffractogram is computed, not measured: it uses a cell relaxed with GGA+U and copper Kα.

```
Na6Co2C4SO16
1.0
0.000 7.013 7.013
7.013 0.000 7.013
7.013 7.013 0.000
Na Co C S O
12 4 8 2 32
Direct
0.092 0.092 0.658 Na
0.092 0.658 0.092 Na
0.092 0.658 0.658 Na
0.342 0.342 0.908 Na
0.342 0.908 0.342 Na
0.342 0.908 0.908 Na
0.658 0.092 0.092 Na
0.658 0.092 0.658 Na
0.658 0.658 0.092 Na
0.908 0.342 0.342 Na
0.908 0.342 0.908 Na
0.908 0.908 0.342 Na
0.000 0.500 0.500 Co
0.500 0.000 0.500 Co
0.500 0.500 0.000 Co
0.500 0.500 0.500 Co
0.282 0.282 0.282 C
0.282 0.282 0.655 C
0.282 0.655 0.282 C
0.345 0.718 0.718 C
0.655 0.282 0.282 C
0.718 0.345 0.718 C
0.718 0.718 0.345 C
0.718 0.718 0.718 C
0.125 0.125 0.125 S
0.875 0.875 0.875 S
0.063 0.063 0.063 O
0.063 0.063 0.310 O
0.063 0.310 0.063 O
0.140 0.304 0.657 O
0.140 0.399 0.304 O
0.140 0.657 0.399 O
0.304 0.140 0.399 O
0.304 0.399 0.657 O
0.304 0.657 0.140 O
0.310 0.063 0.063 O
0.343 0.601 0.860 O
0.343 0.696 0.601 O
0.343 0.860 0.696 O
0.399 0.140 0.657 O
0.399 0.304 0.140 O
0.399 0.657 0.304 O
0.601 0.343 0.696 O
0.601 0.696 0.860 O
0.601 0.860 0.343 O
0.657 0.140 0.304 O
0.657 0.304 0.399 O
0.657 0.399 0.140 O
0.690 0.937 0.937 O
0.696 0.343 0.860 O
0.696 0.601 0.343 O
0.696 0.860 0.601 O
0.860 0.343 0.601 O
0.860 0.601 0.696 O
0.860 0.696 0.343 O
0.937 0.690 0.937 O
0.937 0.937 0.690 O
0.937 0.937 0.937 O
```

Principal peaks in the range 2θ from 10° to 90°, low angle first:
10.93°, 8.098 Å, rel. 31
21.01°, 4.229 Å, rel. 100
33.19°, 2.699 Å, rel. 97
36.23°, 2.479 Å, rel. 77
46.22°, 1.964 Å, rel. 22
56.85°, 1.620 Å, rel. 32